Theoretical PXRD pattern
Compound: Tl2NiF11
Radiation: Cu Kα (λ = 1.5418 Å)
Structure: a structure optimized by DFT (PBE+U)

Principal peaks in the range 10° ≤ 2θ ≤ 90°, low angle first:
| 2θ/deg | d/Å | I (rel.) | hkl |
| --- | --- | --- | --- |
| 18.3 | 4.855 | 84 | 2 0 0 |
| 19.4 | 4.585 | 83 | 0 2 0 |
| 20.3 | 4.384 | 51 | 2 0 -2 |
| 24.0 | 3.710 | 63 | 3 1 -1 |
| 24.2 | 3.680 | 68 | 2 2 -1 |
| 25.8 | 3.454 | 71 | 0 0 2 |
| 26.7 | 3.333 | 100 | 2 2 0 |
| 32.1 | 2.784 | 41 | 3 1 -3 |
| 32.5 | 2.759 | 44 | 0 2 2 |
| 42.1 | 2.148 | 43 | 2 4 -1 |

Structural model:
```
data_Tl2NiF11
_chemical_formula_sum 'Tl8 Ni4 F44'
_symmetry_space_group_name_H-M 'C 1 2/c 1'
_symmetry_Int_Tables_number 15
_cell_length_a 12.4037
_cell_length_b 9.1691
_cell_length_c 8.8239
_cell_angle_alpha 90.00
_cell_angle_beta 128.47
_cell_angle_gamma 90.00
loop_
_symmetry_equiv_pos_as_xyz
'x,y,z'
'-x,-y,-z'
'-x,y,-z+1/2'
'x,-y,z+1/2'
'x+1/2,y+1/2,z'
'-x+1/2,-y+1/2,-z'
'-x+1/2,y+1/2,-z+1/2'
'x+1/2,-y+1/2,z+1/2'
loop_
_atom_site_label
_atom_site_type_symbol
_atom_site_fract_x
_atom_site_fract_y
_atom_site_fract_z
Tl1 Tl 0.2302 0.2107 0.2838
Ni1 Ni 0.0000 0.1070 0.7500
F1 F 0.0000 0.5000 0.0000
F2 F 0.0706 0.0456 0.1895
F3 F 0.0770 0.2414 0.6686
F4 F 0.1370 0.3223 0.3990
F5 F 0.1693 0.1306 0.0041
F6 F 0.1699 0.4480 0.1390
```